# 1
Computed X-ray diffraction stick pattern of ScVSe2O8 for CuKα, from a cell relaxed with PBE+U.

The 10 most intense peaks (10° ≤ 2θ ≤ 90°), low angle first:
- 18.87°, 4.704 Å, rel. 100
- 21.00°, 4.231 Å, rel. 24
- 25.25°, 3.527 Å, rel. 44
- 25.63°, 3.476 Å, rel. 25
- 26.54°, 3.358 Å, rel. 30
- 27.11°, 3.289 Å, rel. 24
- 28.78°, 3.102 Å, rel. 35
- 30.52°, 2.929 Å, rel. 53
- 30.65°, 2.917 Å, rel. 25
- 35.73°, 2.513 Å, rel. 24

Cell: 6.7270 16.2377 6.8038 Å, 90.00 93.18 90.00°
Fractional coordinates of all 48 atoms:
Sc: 0.0577 0.1969 0.3567
Sc: 0.0577 0.3031 0.8567
Sc: 0.9423 0.6969 0.1433
Sc: 0.9423 0.8031 0.6433
V: 0.3309 0.0160 0.3149
V: 0.3309 0.4840 0.8149
V: 0.6691 0.5160 0.1851
V: 0.6691 0.9840 0.6851
Se: 0.0400 0.1064 0.8529
Se: 0.0400 0.3936 0.3529
Se: 0.4343 0.6831 0.9754
Se: 0.4343 0.8169 0.4754
Se: 0.5657 0.1831 0.5246
Se: 0.5657 0.3169 0.0246
Se: 0.9600 0.6064 0.6471
Se: 0.9600 0.8936 0.1471
O: 0.0242 0.1784 0.0368
O: 0.0242 0.3216 0.5368
O: 0.0673 0.1828 0.6789
O: 0.0673 0.3172 0.1789
O: 0.1202 0.0699 0.3660
O: 0.1202 0.4301 0.8660
O: 0.2111 0.5814 0.6903
O: 0.2111 0.9186 0.1903
O: 0.2506 0.6845 0.1372
O: 0.2506 0.8155 0.6372
O: 0.3682 0.2157 0.3799
O: 0.3682 0.2843 0.8799
O: 0.4261 0.0604 0.1287
O: 0.4261 0.4396 0.6287
O: 0.4940 0.5713 0.9723
O: 0.4940 0.9287 0.4723
O: 0.5060 0.0713 0.5277
O: 0.5060 0.4287 0.0277
O: 0.5739 0.5604 0.3713
O: 0.5739 0.9396 0.8713
O: 0.6318 0.7157 0.1201
O: 0.6318 0.7843 0.6201
O: 0.7494 0.1845 0.3628
O: 0.7494 0.3155 0.8628
O: 0.7889 0.0814 0.8097
O: 0.7889 0.4186 0.3097
O: 0.8798 0.5699 0.1340
O: 0.8798 0.9301 0.6340
O: 0.9327 0.6828 0.8211
O: 0.9327 0.8172 0.3211
O: 0.9758 0.6784 0.4632
O: 0.9758 0.8216 0.9632



# 2
Computed X-ray diffraction stick pattern of ScVTe2O8 for CuKα, from a cell relaxed with PBE+U.

The 10 most intense peaks (10° ≤ 2θ ≤ 90°), low angle first:
- 17.87°, 4.964 Å, rel. 32
- 20.69°, 4.294 Å, rel. 50
- 23.31°, 3.817 Å, rel. 48
- 27.27°, 3.270 Å, rel. 88
- 27.73°, 3.217 Å, rel. 100
- 31.69°, 2.823 Å, rel. 38
- 31.90°, 2.805 Å, rel. 18
- 32.76°, 2.734 Å, rel. 20
- 41.28°, 2.187 Å, rel. 23
- 41.72°, 2.165 Å, rel. 25

Cell: 8.2320 5.1952 18.1689 Å, 90.00 112.12 90.00°
Fractional coordinates of all 48 atoms:
Sc: 0.0130 0.2279 0.1732
Sc: 0.0130 0.2721 0.6732
Sc: 0.9870 0.7279 0.3268
Sc: 0.9870 0.7721 0.8268
V: 0.2813 0.2105 0.4276
V: 0.2813 0.2895 0.9276
V: 0.7187 0.7105 0.0724
V: 0.7187 0.7895 0.5724
Te: 0.2048 0.6447 0.0690
Te: 0.2048 0.8553 0.5690
Te: 0.3332 0.7494 0.2773
Te: 0.3332 0.7506 0.7773
Te: 0.6668 0.2494 0.2227
Te: 0.6668 0.2506 0.7227
Te: 0.7952 0.1447 0.4310
Te: 0.7952 0.3553 0.9310
O: 0.0342 0.0968 0.5733
O: 0.0342 0.4032 0.0733
O: 0.1065 0.0790 0.9040
O: 0.1065 0.4210 0.4040
O: 0.1130 0.5668 0.2515
O: 0.1130 0.9332 0.7515
O: 0.2333 0.5623 0.8607
O: 0.2333 0.9377 0.3607
O: 0.2438 0.0392 0.2130
O: 0.2438 0.4608 0.7130
O: 0.3324 0.0968 0.5305
O: 0.3324 0.4032 0.0305
O: 0.3608 0.5779 0.1785
O: 0.3608 0.9221 0.6785
O: 0.4511 0.1367 0.9207
O: 0.4511 0.3633 0.4207
O: 0.5489 0.6367 0.5793
O: 0.5489 0.8633 0.0793
O: 0.6392 0.0779 0.3215
O: 0.6392 0.4221 0.8215
O: 0.6676 0.5968 0.9695
O: 0.6676 0.9032 0.4695
O: 0.7562 0.5392 0.2870
O: 0.7562 0.9608 0.7870
O: 0.7667 0.0623 0.6393
O: 0.7667 0.4377 0.1393
O: 0.8870 0.0668 0.2485
O: 0.8870 0.4332 0.7485
O: 0.8935 0.5790 0.5960
O: 0.8935 0.9210 0.0960
O: 0.9658 0.5968 0.9267
O: 0.9658 0.9032 0.4267